1.
The following is a theoretical X-ray diffraction stick pattern of Pr5Y6Mg. It was derived from a cell relaxed with PBE, using CuKα.

Peak list (10 most intense, 10° ≤ 2θ ≤ 80°, by intensity)
- 2θ = 30.33°, 2.947 Å, I 100
- 2θ = 35.26°, 2.545 Å, I 33
- 2θ = 60.25°, 1.536 Å, I 28
- 2θ = 50.51°, 1.807 Å, I 24
- 2θ = 34.98°, 2.565 Å, I 17
- 2θ = 59.88°, 1.545 Å, I 14
- 2θ = 63.10°, 1.473 Å, I 12
- 2θ = 50.72°, 1.800 Å, I 12
- 2θ = 10.44°, 8.470 Å, I 4
- 2θ = 74.56°, 1.273 Å, I 4

Structural model:
Cell: 9.531 9.531 9.531 Å, 148.77 115.46 73.44°
Positions (direct):
Pr (0.000, 0.000, 0.000)
Pr (0.166, 0.666, 0.500)
Pr (0.333, 0.333, 0.000)
Pr (0.667, 0.667, 0.000)
Pr (0.834, 0.334, 0.500)
Y (0.087, 0.834, 0.253)
Y (0.252, 0.500, 0.752)
Y (0.419, 0.166, 0.253)
Y (0.581, 0.834, 0.747)
Y (0.748, 0.500, 0.248)
Y (0.913, 0.166, 0.747)
Mg (0.500, 0.000, 0.500)

2.
The following is a theoretical X-ray diffraction stick pattern of KIn2Au9. It was derived from a cell relaxed with PBE, using CuKα.

Peak list (10 most intense, 10° ≤ 2θ ≤ 80°, by intensity)
- 2θ = 37.49°, 2.399 Å, I 100
- 2θ = 36.76°, 2.445 Å, I 65
- 2θ = 41.45°, 2.178 Å, I 34
- 2θ = 74.13°, 1.279 Å, I 28
- 2θ = 53.51°, 1.712 Å, I 21
- 2θ = 67.16°, 1.394 Å, I 20
- 2θ = 67.64°, 1.385 Å, I 15
- 2θ = 10.65°, 8.310 Å, I 14
- 2θ = 35.08°, 2.558 Å, I 13
- 2θ = 18.49°, 4.798 Å, I 12

Structural model:
Cell: 9.596 9.596 3.024 Å, 90.00 90.00 120.00°
Positions (direct):
K (0.000, 0.000, 0.000)
In (0.333, 0.667, 0.000)
In (0.667, 0.333, 0.000)
Au (0.000, 0.500, 0.000)
Au (0.178, 0.356, 0.500)
Au (0.178, 0.822, 0.500)
Au (0.356, 0.178, 0.500)
Au (0.500, 0.000, 0.000)
Au (0.500, 0.500, 0.000)
Au (0.644, 0.822, 0.500)
Au (0.822, 0.178, 0.500)
Au (0.822, 0.644, 0.500)